# 1
Computed powder diffraction line list of Li2VP4O13 for λ = 1.5418 Å (Cu Kα), from DFT lattice parameters and positions (GGA+U).

Structural model:
```
data_Li2VP4O13
_chemical_formula_sum 'Li4 V2 P8 O26'
_cell_length_a 5.141
_cell_length_b 7.933
_cell_length_c 13.373
_cell_angle_alpha 73.96
_cell_angle_beta 87.55
_cell_angle_gamma 81.02
_symmetry_space_group_name_H-M 'P -1'
_symmetry_Int_Tables_number 2
_symmetry_space_group_name_Hall '-P 1'
loop_
_atom_site_label
_atom_site_type_symbol
_atom_site_fract_x
_atom_site_fract_y
_atom_site_fract_z
Li1 Li 0.001 0.221 0.492
Li2 Li 0.414 0.184 0.977
V1 V 0.042 0.477 0.746
P1 P 0.150 0.910 0.175
P2 P 0.162 0.880 0.694
P3 P 0.412 0.655 0.364
P4 P 0.497 0.622 0.851
O1 O 0.003 0.920 0.794
O2 O 0.033 0.735 0.666
O3 O 0.042 0.222 0.822
O4 O 0.176 0.040 0.607
O5 O 0.208 0.451 0.161
O6 O 0.241 0.522 0.346
O7 O 0.287 0.973 0.074
O8 O 0.292 0.414 0.649
O9 O 0.329 0.481 0.839
O10 O 0.349 0.709 0.461
O11 O 0.365 0.829 0.264
O12 O 0.442 0.692 0.942
O13 O 0.443 0.788 0.744
```

Principal peaks in the range 2θ = 10–90°, by angle:
h k l  two_theta  d_spacing  I_rel
0 0 2  13.78  6.426  100
1 1 0  19.56  4.539  24
1 0 2  22.32  3.983  23
-1 1 2  24.73  3.600  43
1 2 2  27.51  3.242  33
0 2 -2  30.60  2.921  21

# 2
Computed powder diffraction line list of LiVP3O9 for λ = 1.5418 Å (Cu Kα), from DFT lattice parameters and positions (GGA+U).

Structural model:
```
data_LiVP3O9
_chemical_formula_sum 'Li4 V4 P12 O36'
_cell_length_a 11.335
_cell_length_b 6.765
_cell_length_c 9.932
_cell_angle_alpha 90.00
_cell_angle_beta 91.08
_cell_angle_gamma 90.00
_symmetry_space_group_name_H-M 'C 1 c 1'
_symmetry_Int_Tables_number 9
_symmetry_space_group_name_Hall 'C -2yc'
loop_
_atom_site_label
_atom_site_type_symbol
_atom_site_fract_x
_atom_site_fract_y
_atom_site_fract_z
Li1 Li 0.000 0.161 0.000
V1 V 0.183 0.496 0.463
P1 P 0.226 0.159 0.208
P2 P 0.324 0.251 0.711
P3 P 0.485 0.097 0.220
O1 O 0.033 0.347 0.858
O2 O 0.062 0.371 0.602
O3 O 0.163 0.225 0.080
O4 O 0.183 0.230 0.340
O5 O 0.226 0.079 0.707
O6 O 0.308 0.377 0.832
O7 O 0.333 0.352 0.575
O8 O 0.364 0.213 0.191
O9 O 0.446 0.131 0.728
```

Principal peaks in the range 2θ = 10–90°, by angle:
h k l  two_theta  d_spacing  I_rel
1 1 0  15.25  5.809  100
2 0 0  15.64  5.667  45
0 0 2  17.86  4.965  59
1 1 -2  23.46  3.792  67
2 0 -2  23.66  3.761  78
0 2 1  27.86  3.202  38

# 3
Computed powder diffraction line list of Li3VP2O8 for λ = 1.5418 Å (Cu Kα), from DFT lattice parameters and positions (GGA+U).

Structural model:
```
data_Li3VP2O8
_chemical_formula_sum 'Li6 V2 P4 O16'
_cell_length_a 4.929
_cell_length_b 8.853
_cell_length_c 7.866
_cell_angle_alpha 90.00
_cell_angle_beta 124.31
_cell_angle_gamma 90.00
_symmetry_space_group_name_H-M 'P 1 21/c 1'
_symmetry_Int_Tables_number 14
_symmetry_space_group_name_Hall '-P 2ybc'
loop_
_atom_site_label
_atom_site_type_symbol
_atom_site_fract_x
_atom_site_fract_y
_atom_site_fract_z
Li1 Li 0.000 0.000 0.000
Li2 Li 0.324 0.137 0.815
V1 V 0.500 0.000 0.500
P1 P 0.191 0.682 0.218
O1 O 0.147 0.134 0.480
O2 O 0.173 0.644 0.744
O3 O 0.254 0.597 0.405
O4 O 0.474 0.645 0.190
```

Principal peaks in the range 2θ = 10–90°, by angle:
h k l  two_theta  d_spacing  I_rel
0 1 1  16.93  5.238  100
1 1 0  24.06  3.699  80
1 1 -2  25.60  3.479  72
0 2 2  34.24  2.619  64
1 3 -1  35.48  2.530  56
2 1 -2  37.98  2.369  47